Computed X-ray powder pattern of Zr4CoAg for a wavelength of 1.5418 Å, from a GGA-PBE-relaxed structure.

Atomic structure:
Cell lengths 6.661, 6.661, 5.425 Å; angles 90.00, 90.00, 90.00 degrees
Sites, in units of the cell vectors:
Zr1 0.143 0.321 0.000
Zr2 0.143 0.679 0.500
Zr3 0.321 0.143 0.500
Zr4 0.321 0.857 0.000
Zr5 0.679 0.143 0.000
Zr6 0.679 0.857 0.500
Zr7 0.857 0.321 0.500
Zr8 0.857 0.679 0.000
Co1 0.000 0.000 0.250
Co2 0.000 0.000 0.750
Ag1 0.500 0.500 0.250
Ag2 0.500 0.500 0.750

Largest 6 diffraction maxima, sorted by position, 15° ≤ 2θ ≤ 90°:
- 2.611 Å, rel. 1000
- 2.352 Å, rel. 487
- 2.105 Å, rel. 825
- 1.546 Å, rel. 192
- 1.419 Å, rel. 133
- 1.359 Å, rel. 198

---

Computed X-ray powder pattern of Ba3SrMg2Te2O12 for a wavelength of 1.5418 Å, from a GGA-PBE-relaxed structure.

Atomic structure:
Cell lengths 10.021, 10.021, 10.021 Å; angles 33.58, 33.58, 33.58 degrees
Sites, in units of the cell vectors:
Ba1 0.000 0.000 0.000
Ba2 0.249 0.249 0.249
Ba3 0.750 0.750 0.750
Sr1 0.500 0.500 0.500
Mg1 0.125 0.125 0.125
Mg2 0.624 0.624 0.624
Te1 0.376 0.376 0.376
Te2 0.874 0.874 0.874
O1 0.016 0.495 0.495
O2 0.236 0.752 0.752
O3 0.258 0.258 0.732
O4 0.258 0.732 0.258
O5 0.495 0.016 0.495
O6 0.495 0.495 0.016
O7 0.515 0.994 0.994
O8 0.732 0.258 0.258
O9 0.752 0.236 0.752
O10 0.752 0.752 0.236
O11 0.994 0.515 0.994
O12 0.994 0.994 0.515

Largest 6 diffraction maxima, sorted by position, 15° ≤ 2θ ≤ 90°:
- 4.726 Å, rel. 205
- 2.894 Å, rel. 1000
- 2.046 Å, rel. 335
- 1.671 Å, rel. 397
- 1.447 Å, rel. 203
- 1.094 Å, rel. 216

---

Computed X-ray powder pattern of Ti6CuNi12 for a wavelength of 1.5418 Å, from a GGA-PBE-relaxed structure.

Atomic structure:
Cell lengths 6.284, 6.284, 6.284 Å; angles 95.59, 95.59, 95.59 degrees
Sites, in units of the cell vectors:
Ti1 0.192 0.734 0.342
Ti2 0.266 0.658 0.808
Ti3 0.342 0.192 0.734
Ti4 0.658 0.808 0.266
Ti5 0.734 0.342 0.192
Ti6 0.808 0.266 0.658
Cu1 0.500 0.500 0.500
Ni1 0.003 0.964 0.712
Ni2 0.036 0.288 0.997
Ni3 0.125 0.376 0.446
Ni4 0.288 0.997 0.036
Ni5 0.376 0.446 0.125
Ni6 0.446 0.125 0.376
Ni7 0.554 0.875 0.624
Ni8 0.624 0.554 0.875
Ni9 0.712 0.003 0.964
Ni10 0.875 0.624 0.554
Ni11 0.964 0.712 0.003
Ni12 0.997 0.036 0.288

Largest 6 diffraction maxima, sorted by position, 15° ≤ 2θ ≤ 90°:
- 2.337 Å, rel. 154
- 2.180 Å, rel. 651
- 2.073 Å, rel. 460
- 2.033 Å, rel. 1000
- 1.899 Å, rel. 320
- 1.863 Å, rel. 143

---

Computed X-ray powder pattern of Nb3Tl2Br9 for a wavelength of 1.5418 Å, from a GGA-PBE-relaxed structure.

Atomic structure:
Cell lengths 10.348, 10.348, 10.277 Å; angles 103.05, 103.05, 116.04 degrees
Sites, in units of the cell vectors:
Nb1 0.041 0.211 0.636
Nb2 0.115 0.115 0.379
Nb3 0.211 0.041 0.636
Nb4 0.789 0.959 0.364
Nb5 0.885 0.885 0.621
Nb6 0.959 0.789 0.364
Tl1 0.232 0.551 0.164
Tl2 0.449 0.768 0.836
Tl3 0.551 0.232 0.164
Tl4 0.768 0.449 0.836
Br1 0.089 0.882 0.187
Br2 0.100 0.500 0.824
Br3 0.118 0.911 0.813
Br4 0.190 0.399 0.518
Br5 0.208 0.792 0.500
Br6 0.270 0.270 0.217
Br7 0.312 0.312 0.832
Br8 0.399 0.190 0.518
Br9 0.500 0.100 0.824
Br10 0.500 0.900 0.176
Br11 0.601 0.810 0.482
Br12 0.688 0.688 0.168
Br13 0.730 0.730 0.783
Br14 0.792 0.208 0.500
Br15 0.810 0.601 0.482
Br16 0.882 0.089 0.187
Br17 0.900 0.500 0.176
Br18 0.911 0.118 0.813

Largest 6 diffraction maxima, sorted by position, 15° ≤ 2θ ≤ 90°:
- 3.132 Å, rel. 681
- 3.097 Å, rel. 1000
- 2.991 Å, rel. 569
- 2.855 Å, rel. 929
- 2.531 Å, rel. 811
- 1.859 Å, rel. 683

---

Computed X-ray powder pattern of RbSrTa2 for a wavelength of 1.5418 Å, from a GGA-PBE-relaxed structure.

Atomic structure:
Cell lengths 4.604, 4.604, 24.644 Å; angles 90.00, 90.00, 90.00 degrees
Sites, in units of the cell vectors:
Rb1 0.000 0.000 0.000
Rb2 0.000 0.500 0.250
Rb3 0.500 0.000 0.750
Rb4 0.500 0.500 0.500
Sr1 0.000 0.000 0.500
Sr2 0.000 0.500 0.750
Sr3 0.500 0.000 0.250
Sr4 0.500 0.500 0.000
Ta1 0.125 0.250 0.625
Ta2 0.250 0.625 0.875
Ta3 0.250 0.875 0.375
Ta4 0.375 0.250 0.125
Ta5 0.625 0.750 0.125
Ta6 0.750 0.125 0.375
Ta7 0.750 0.375 0.875
Ta8 0.875 0.750 0.625

Largest 6 diffraction maxima, sorted by position, 15° ≤ 2θ ≤ 90°:
- 4.526 Å, rel. 419
- 3.148 Å, rel. 1000
- 3.081 Å, rel. 711
- 2.551 Å, rel. 567
- 2.156 Å, rel. 461
- 2.052 Å, rel. 334

---

Computed X-ray powder pattern of K2Hg8Au3 for a wavelength of 1.5418 Å, from a GGA-PBE-relaxed structure.

Atomic structure:
Cell lengths 9.567, 9.567, 5.428 Å; angles 98.86, 98.86, 45.96 degrees
Sites, in units of the cell vectors:
K1 0.175 0.175 0.244
K2 0.825 0.825 0.756
Hg1 0.136 0.604 0.283
Hg2 0.288 0.288 0.804
Hg3 0.396 0.864 0.717
Hg4 0.455 0.455 0.719
Hg5 0.545 0.545 0.281
Hg6 0.604 0.136 0.283
Hg7 0.712 0.712 0.196
Hg8 0.864 0.396 0.717
Au1 0.000 0.000 0.500
Au2 0.181 0.819 0.000
Au3 0.819 0.181 0.000

Largest 6 diffraction maxima, sorted by position, 15° ≤ 2θ ≤ 90°:
- 2.832 Å, rel. 348
- 2.805 Å, rel. 1000
- 2.746 Å, rel. 402
- 2.439 Å, rel. 214
- 2.259 Å, rel. 206
- 2.060 Å, rel. 235

---

Computed X-ray powder pattern of Ac8Pr2Y3 for a wavelength of 1.5418 Å, from a GGA-PBE-relaxed structure.

Atomic structure:
Cell lengths 6.681, 8.578, 10.203 Å; angles 65.50, 89.92, 82.52 degrees
Sites, in units of the cell vectors:
Ac1 0.078 0.044 0.304
Ac2 0.159 0.580 0.615
Ac3 0.235 0.117 0.922
Ac4 0.306 0.645 0.227
Ac5 0.694 0.355 0.773
Ac6 0.765 0.883 0.078
Ac7 0.841 0.420 0.385
Ac8 0.922 0.956 0.696
Pr1 0.388 0.184 0.540
Pr2 0.612 0.816 0.460
Y1 0.000 0.500 0.000
Y2 0.463 0.725 0.849
Y3 0.537 0.275 0.151

Largest 6 diffraction maxima, sorted by position, 15° ≤ 2θ ≤ 90°:
- 3.160 Å, rel. 506
- 3.148 Å, rel. 1000
- 3.135 Å, rel. 493
- 2.738 Å, rel. 347
- 2.720 Å, rel. 677
- 1.932 Å, rel. 391

---

Computed X-ray powder pattern of CuAgS4 for a wavelength of 1.5418 Å, from a GGA-PBE-relaxed structure.

Atomic structure:
Cell lengths 6.244, 6.596, 7.540 Å; angles 77.98, 85.62, 88.85 degrees
Sites, in units of the cell vectors:
Cu1 0.058 0.192 0.342
Cu2 0.942 0.808 0.658
Ag1 0.112 0.729 0.168
Ag2 0.888 0.271 0.832
S1 0.168 0.156 0.048
S2 0.218 0.672 0.489
S3 0.263 0.954 0.553
S4 0.305 0.384 0.155
S5 0.695 0.616 0.845
S6 0.737 0.046 0.447
S7 0.782 0.328 0.511
S8 0.832 0.844 0.952

Largest 6 diffraction maxima, sorted by position, 15° ≤ 2θ ≤ 90°:
- 4.935 Å, rel. 757
- 4.588 Å, rel. 1000
- 3.527 Å, rel. 997
- 3.226 Å, rel. 691
- 2.869 Å, rel. 676
- 2.811 Å, rel. 668